[1]
Theoretical powder diffraction line list of Li2Cr2SiO6 for Cu Kα (weighted mean of Kα1 and Kα2), from a structure optimized by DFT (PBE+U).

Structure:
```
22
Lattice="0.000 4.185 8.450 2.940 0.000 8.450 2.940 4.185 0.000" Properties=species:S:1:pos:R:3 pbc="T T T"
Li 2.205 3.139 0.594
Li 3.674 5.231 4.819
Li 2.205 3.139 12.080
Li 3.674 5.231 16.305
Cr 2.205 3.139 3.454
Cr 3.674 5.231 7.679
Cr 2.205 3.139 9.220
Cr 3.674 5.231 13.445
Si 2.205 3.139 6.337
Si 3.674 5.231 10.562
O 3.473 3.067 5.001
O 2.205 1.363 6.337
O 3.473 3.210 7.674
O 4.943 5.302 9.225
O 3.674 3.455 10.562
O 4.943 5.160 11.898
O 0.936 3.210 5.001
O 2.205 4.914 6.337
O 0.936 3.067 7.674
O 2.406 5.160 9.225
O 3.674 7.006 10.562
O 2.406 5.302 11.898
```

Main lines, low angle first (10° ≤ 2θ ≤ 80°):
d/Å, two_theta, Rel. int.
4.627, 19.18, 100
3.658, 24.33, 22
2.766, 32.37, 21
2.493, 36.03, 7
2.301, 39.16, 9
2.092, 43.24, 30
2.034, 44.55, 55
1.662, 55.29, 8
1.470, 63.27, 7
1.458, 63.83, 27



[2]
Theoretical powder diffraction line list of V3H4O8 for Cu Kα (weighted mean of Kα1 and Kα2), from a structure optimized by DFT (PBE+U).

Structure:
```
15
Lattice="10.991 -2.266 0.000 10.991 2.266 0.000 -0.964 0.000 5.279" Properties=species:S:1:pos:R:3 pbc="T T T"
V 0.000 0.000 0.000
V 2.623 0.000 4.668
V 18.394 0.000 0.612
H 0.586 0.000 2.665
H 3.917 0.000 2.230
H 17.101 0.000 3.049
H 20.432 0.000 2.614
O 0.641 0.000 1.676
O 0.794 0.000 4.575
O 3.462 0.000 3.150
O 4.427 0.000 0.832
O 16.590 0.000 4.447
O 17.555 0.000 2.129
O 20.224 0.000 0.705
O 20.376 0.000 3.603
```

Main lines, low angle first (10° ≤ 2θ ≤ 80°):
d/Å, two_theta, Rel. int.
5.279, 16.79, 24
4.437, 20.01, 100
3.837, 23.18, 10
3.604, 24.70, 13
3.336, 26.72, 20
3.261, 27.35, 12
3.129, 28.53, 15
2.860, 31.28, 13
2.266, 39.77, 14
2.083, 43.44, 8



[3]
Theoretical powder diffraction line list of Li5Cr6P5O24 for Cu Kα (weighted mean of Kα1 and Kα2), from a structure optimized by DFT (PBE+U).

Structure:
```
40
Lattice="6.508 0.000 0.000 0.031 6.785 0.000 3.248 3.233 9.505" Properties=species:S:1:pos:R:3 pbc="T T T"
Li 0.000 0.000 0.000
Li 3.153 6.695 9.081
Li 3.117 3.263 4.698
Li 3.267 6.759 4.258
Li 6.492 6.582 8.874
Cr 1.631 1.614 2.057
Cr 4.867 8.343 6.894
Cr 4.874 5.139 2.103
Cr 6.478 3.328 4.830
Cr 8.023 5.006 6.882
Cr 8.574 8.373 6.927
P 1.636 4.300 2.060
P 4.157 4.998 6.868
P 6.514 3.230 9.248
P 4.874 2.445 2.092
P 6.530 6.755 4.427
O 1.286 7.157 3.617
O 1.472 3.260 3.263
O 3.175 4.728 8.069
O 3.395 8.562 8.152
O 3.172 5.251 5.665
O 3.380 8.204 5.636
O 1.792 3.291 0.859
O 1.972 0.315 0.557
O 2.880 5.127 2.396
O 4.968 6.265 7.224
O 4.946 3.703 6.501
O 3.621 1.624 2.395
O 6.270 8.770 8.342
O 5.047 3.449 3.339
O 6.871 4.521 8.473
O 5.240 6.420 3.631
O 4.556 6.399 0.591
O 6.219 7.987 5.353
O 4.704 3.488 0.929
O 6.882 5.483 5.244
O 7.957 6.823 7.506
O 6.127 1.620 1.802
O 7.938 3.181 6.192
O 6.883 5.132 1.820
```

Main lines, low angle first (10° ≤ 2θ ≤ 80°):
d/Å, two_theta, Rel. int.
4.752, 18.67, 84
4.540, 19.55, 35
2.971, 30.08, 22
2.783, 32.16, 56
2.739, 32.69, 57
2.685, 33.37, 100
2.376, 37.86, 18
2.270, 39.70, 23
1.696, 54.07, 18
1.661, 55.32, 23



[4]
Theoretical powder diffraction line list of KNiTeO6 for Cu Kα (weighted mean of Kα1 and Kα2), from a structure optimized by DFT (PBE+U).

Structure:
```
9
Lattice="5.045 0.000 0.000 -2.522 4.369 0.000 0.000 0.000 6.170" Properties=species:S:1:pos:R:3 pbc="T T T"
K 0.000 0.000 0.000
Ni 0.000 2.912 3.085
Te 2.522 1.456 3.085
O -0.908 1.671 4.174
O -1.529 2.747 1.996
O 0.908 1.671 1.996
O -0.621 4.319 4.174
O 1.529 2.747 4.174
O 0.621 4.319 1.996
```

Main lines, low angle first (10° ≤ 2θ ≤ 80°):
d/Å, two_theta, Rel. int.
6.170, 14.36, 100
4.369, 20.33, 23
3.565, 24.97, 97
2.522, 35.60, 36
2.335, 38.56, 29
2.059, 43.98, 16
1.953, 46.51, 52
1.595, 57.82, 31
1.456, 63.94, 17
1.316, 71.70, 19



[5]
Theoretical powder diffraction line list of BaSrNdMnO6 for Cu Kα (weighted mean of Kα1 and Kα2), from a structure optimized by DFT (PBE+U).

Structure:
```
10
Lattice="0.000 4.225 4.225 4.225 0.000 4.225 4.225 4.225 0.000" Properties=species:S:1:pos:R:3 pbc="T T T"
Ba 0.000 0.000 0.000
Sr 4.225 4.225 4.225
Nd 2.113 2.113 2.113
Mn 6.338 6.338 6.338
O 6.338 6.338 4.414
O 6.338 4.414 6.338
O 8.262 6.338 6.338
O 4.414 6.338 6.338
O 6.338 8.262 6.338
O 6.338 6.338 8.262
```

Main lines, low angle first (10° ≤ 2θ ≤ 80°):
d/Å, two_theta, Rel. int.
4.879, 18.18, 10
2.988, 29.91, 100
2.548, 35.23, 9
2.439, 36.85, 3
2.113, 42.81, 32
1.939, 46.87, 5
1.725, 53.10, 39
1.494, 62.14, 19
1.336, 70.48, 18
1.220, 78.41, 6



[6]
Theoretical powder diffraction line list of Li2CoO2 for Cu Kα (weighted mean of Kα1 and Kα2), from a structure optimized by DFT (PBE+U).

Structure:
```
5
Lattice="3.153 0.000 0.000 -1.577 2.731 0.000 0.000 0.000 5.124" Properties=species:S:1:pos:R:3 pbc="T T T"
Li 0.000 1.820 0.730
Li 1.577 0.910 4.394
Co 0.000 0.000 2.562
O 0.000 1.820 3.777
O 1.577 0.910 1.347
```

Main lines, low angle first (10° ≤ 2θ ≤ 80°):
d/Å, two_theta, Rel. int.
5.124, 17.31, 89
2.731, 32.80, 25
2.410, 37.31, 100
1.868, 48.74, 61
1.708, 53.66, 5
1.577, 58.55, 27
1.507, 61.54, 15
1.448, 64.33, 17
1.319, 71.51, 12
1.205, 79.56, 12



[7]
Theoretical powder diffraction line list of Li3Fe3SbO8 for Cu Kα (weighted mean of Kα1 and Kα2), from a structure optimized by DFT (PBE+U).

Structure:
```
15
Lattice="3.047 1.759 4.996 -3.047 1.759 4.996 0.000 -3.518 4.996" Properties=species:S:1:pos:R:3 pbc="T T T"
Li -1.523 -0.879 4.996
Li -1.523 0.879 9.991
Li 0.000 1.759 4.995
Fe -3.047 0.000 7.493
Fe -1.523 0.879 2.498
Fe 1.523 0.879 2.498
Sb 0.000 0.000 7.493
O 0.000 0.000 3.612
O -1.450 -0.837 8.602
O 0.000 -1.674 6.385
O -1.450 0.837 6.385
O 1.450 -0.837 8.602
O 0.000 1.674 8.602
O 1.450 0.837 6.385
O 0.000 0.000 11.374
```

Main lines, low angle first (10° ≤ 2θ ≤ 80°):
d/Å, two_theta, Rel. int.
4.993, 17.76, 100
2.598, 34.52, 38
2.489, 36.09, 15
2.157, 41.88, 55
1.981, 45.81, 14
1.663, 55.24, 15
1.527, 60.62, 15
1.523, 60.81, 16
1.457, 63.89, 15
1.300, 72.74, 7



[8]
Theoretical powder diffraction line list of Li2TiCr3O8 for Cu Kα (weighted mean of Kα1 and Kα2), from a structure optimized by DFT (PBE+U).

Structure:
```
28
Lattice="5.176 -2.957 0.000 5.176 2.957 0.000 -3.437 0.000 9.693" Properties=species:S:1:pos:R:3 pbc="T T T"
Li 0.888 1.481 6.666
Li 4.309 1.481 7.874
Li 2.606 -1.481 1.820
Li 6.028 -1.481 3.027
Ti 4.317 1.504 2.423
Ti 2.599 -1.504 7.270
Cr 0.000 0.000 0.000
Cr -1.718 0.000 4.847
Cr 2.588 1.479 0.000
Cr 0.870 -1.479 4.847
Cr 5.176 0.000 0.000
Cr 3.458 0.000 4.847
O -1.809 0.159 8.495
O -0.090 -0.159 3.649
O 0.898 1.422 8.682
O 2.767 1.425 3.687
O 3.576 0.125 1.153
O 5.868 1.425 1.160
O 4.299 1.422 5.859
O 1.858 -0.125 6.000
O 5.058 0.125 3.694
O 2.616 -1.422 3.835
O 1.048 -1.425 8.534
O 3.339 -0.125 8.540
O 4.149 -1.425 6.006
O 6.018 -1.422 1.012
O 7.006 0.159 6.045
O 8.725 -0.159 1.198
```

Main lines, low angle first (10° ≤ 2θ ≤ 80°):
d/Å, two_theta, Rel. int.
4.879, 18.18, 35
4.843, 18.32, 100
2.538, 35.37, 24
2.530, 35.48, 23
2.524, 35.56, 9
2.107, 42.93, 26
2.098, 43.12, 51
1.615, 57.03, 10
1.490, 62.33, 23
1.483, 62.64, 15